Theoretical X-ray powder pattern
Compound: NaMg2
Radiation: Cu Ka
Structure: a DFT-relaxed cell (PBE, Alexandria)
No peak broadening, texture or thermal motion is included.

Most intense lines, 15 to 90 degrees two-theta, in order of rising 2θ:
- 2θ = 16.9°, I = 15.2, hkl 0 1 1
- 2θ = 27.7°, I = 27.2, hkl 0 1 5
- 2θ = 33.0°, I = 45.7, hkl 0 2 0
- 2θ = 33.3°, I = 90.1, hkl 1 1 2
- 2θ = 35.6°, I = 100.0, hkl 0 1 7
- 2θ = 49.3°, I = 28.3, hkl 1 2 5
- 2θ = 59.1°, I = 15.6, hkl 1 3 2
- 2θ = 68.5°, I = 17.0, hkl 2 1 7

Crystal structure
```
data_NaMg2
_space_group_name_H-M_alt 'I m m a'
_space_group_IT_number 74
_space_group_name_Hall '-I 2b 2'
_cell_length_a 3.263
_cell_length_b 5.435
_cell_length_c 19.926
_cell_angle_alpha 90.00
_cell_angle_beta 90.00
_cell_angle_gamma 90.00
loop_
_atom_site_label
_atom_site_type_symbol
_atom_site_fract_x
_atom_site_fract_y
_atom_site_fract_z
Na1 Na 0.000 0.250 0.121
Mg1 Mg 0.000 0.250 0.536
Mg2 Mg 0.000 0.250 0.687
```


Theoretical X-ray powder pattern
Compound: Na3Mg
Radiation: Cu Ka
Structure: a DFT-relaxed cell (PBE, Alexandria)
No peak broadening, texture or thermal motion is included.

Most intense lines, 15 to 90 degrees two-theta, in order of rising 2θ:
- 2θ = 30.6°, I = 100.0, hkl 0 1 2
- 2θ = 30.9°, I = 98.8, hkl 1 1 0
- 2θ = 33.7°, I = 38.8, hkl 0 2 0
- 2θ = 36.6°, I = 60.7, hkl 1 0 2
- 2θ = 50.6°, I = 45.0, hkl 1 2 2
- 2θ = 58.6°, I = 14.1, hkl 1 3 0
- 2θ = 62.0°, I = 21.8, hkl 1 1 4
- 2θ = 62.5°, I = 22.2, hkl 2 1 2

Crystal structure
```
data_Na3Mg
_space_group_name_H-M_alt 'P m m m'
_space_group_IT_number 47
_cell_length_a 3.449
_cell_length_b 5.312
_cell_length_c 7.004
_cell_angle_alpha 90.00
_cell_angle_beta 90.00
_cell_angle_gamma 90.00
loop_
_space_group_symop_operation_xyz
'x,y,z'
'-x,-y,-z'
'-x,-y,z'
'x,y,-z'
'x,-y,-z'
'-x,y,z'
'-x,y,-z'
'x,-y,z'
loop_
_atom_site_label
_atom_site_type_symbol
_atom_site_fract_x
_atom_site_fract_y
_atom_site_fract_z
Na1 Na 0.000 0.000 0.000
Na2 Na 0.500 0.500 0.265
Mg1 Mg 0.000 0.000 0.500
```


Theoretical X-ray powder pattern
Compound: NaMg3
Radiation: Cu Ka
Structure: a DFT-relaxed cell (PBE, Alexandria)
No peak broadening, texture or thermal motion is included.

Most intense lines, 15 to 90 degrees two-theta, in order of rising 2θ:
- 2θ = 32.7°, I = 100.0, hkl 0 1 2
- 2θ = 34.0°, I = 91.9, hkl 1 1 0
- 2θ = 37.3°, I = 35.2, hkl 0 2 0
- 2θ = 39.3°, I = 59.1, hkl 1 0 2
- 2θ = 55.3°, I = 41.4, hkl 1 2 2
- 2θ = 64.4°, I = 12.6, hkl 0 3 2
- 2θ = 66.4°, I = 21.4, hkl 1 1 4
- 2θ = 68.6°, I = 20.5, hkl 2 1 2

Crystal structure
```
data_NaMg3
_space_group_name_H-M_alt 'P m m m'
_space_group_IT_number 47
_cell_length_a 3.156
_cell_length_b 4.819
_cell_length_c 6.662
_cell_angle_alpha 90.00
_cell_angle_beta 90.00
_cell_angle_gamma 90.00
loop_
_space_group_symop_operation_xyz
'x,y,z'
'-x,-y,-z'
'-x,-y,z'
'x,y,-z'
'x,-y,-z'
'-x,y,z'
'-x,y,-z'
'x,-y,z'
loop_
_atom_site_label
_atom_site_type_symbol
_atom_site_fract_x
_atom_site_fract_y
_atom_site_fract_z
Na1 Na 0.000 0.000 0.000
Mg1 Mg 0.000 0.000 0.500
Mg2 Mg 0.500 0.500 0.266
```


Theoretical X-ray powder pattern
Compound: Na3Mg
Radiation: Cu Ka
Structure: a DFT-relaxed cell (PBE, Alexandria)
No peak broadening, texture or thermal motion is included.

Most intense lines, 15 to 90 degrees two-theta, in order of rising 2θ:
- 2θ = 31.6°, I = 100.0, hkl 0 2 1
- 2θ = 31.8°, I = 98.9, hkl 2 2 0
- 2θ = 45.4°, I = 34.8, hkl 4 0 1
- 2θ = 56.3°, I = 17.4, hkl 2 0 2
- 2θ = 56.5°, I = 51.5, hkl 6 0 0
- 2θ = 66.1°, I = 10.1, hkl 0 4 2
- 2θ = 75.2°, I = 12.9, hkl 4 2 2
- 2θ = 75.4°, I = 12.8, hkl 6 2 1

Crystal structure
```
data_Na3Mg
_space_group_name_H-M_alt 'R -3 m'
_space_group_IT_number 166
_space_group_name_Hall '-R 3 2"'
_cell_length_a 11.2715
_cell_length_b 11.2715
_cell_length_c 3.4708
_cell_angle_alpha 90.00
_cell_angle_beta 90.00
_cell_angle_gamma 120.00
loop_
_atom_site_label
_atom_site_type_symbol
_atom_site_fract_x
_atom_site_fract_y
_atom_site_fract_z
Na1 Na 0.0000 0.5000 0.0000
Mg1 Mg 0.0000 0.0000 0.0000
```


Theoretical X-ray powder pattern
Compound: Na4Mg
Radiation: Cu Ka
Structure: a DFT-relaxed cell (PBE, Alexandria)
No peak broadening, texture or thermal motion is included.

Most intense lines, 15 to 90 degrees two-theta, in order of rising 2θ:
- 2θ = 20.7°, I = 21.7, hkl 1 1 0
- 2θ = 25.5°, I = 66.4, hkl 1 1 1
- 2θ = 29.5°, I = 100.0, hkl 2 0 0
- 2θ = 42.2°, I = 72.2, hkl 2 2 0
- 2θ = 50.0°, I = 28.5, hkl 3 1 1
- 2θ = 52.3°, I = 24.4, hkl 2 2 2
- 2θ = 69.4°, I = 28.0, hkl 4 2 0
- 2θ = 77.2°, I = 19.5, hkl 4 2 2

Crystal structure
```
data_Na4Mg
_space_group_name_H-M_alt 'P m -3 m'
_space_group_IT_number 221
_space_group_name_Hall '-P 4 2 3'
_cell_length_a 6.055
_cell_length_b 6.055
_cell_length_c 6.055
_cell_angle_alpha 90.00
_cell_angle_beta 90.00
_cell_angle_gamma 90.00
loop_
_atom_site_label
_atom_site_type_symbol
_atom_site_fract_x
_atom_site_fract_y
_atom_site_fract_z
Na1 Na 0.000 0.000 0.000
Na2 Na 0.000 0.500 0.500
Mg1 Mg 0.500 0.500 0.500
```


Theoretical X-ray powder pattern
Compound: NaMg6Nb
Radiation: Cu Ka
Structure: a DFT-relaxed cell (PBE, Alexandria)
No peak broadening, texture or thermal motion is included.

Most intense lines, 15 to 90 degrees two-theta, in order of rising 2θ:
- 2θ = 19.9°, I = 13.4, hkl 1 1 0
- 2θ = 24.3°, I = 12.6, hkl 1 0 1
- 2θ = 34.7°, I = 100.0, hkl 2 0 1
- 2θ = 37.6°, I = 14.3, hkl 2 1 1
- 2θ = 39.9°, I = 17.1, hkl 0 0 2
- 2θ = 40.5°, I = 31.7, hkl 2 2 0
- 2θ = 58.2°, I = 20.9, hkl 2 2 2
- 2θ = 70.0°, I = 22.1, hkl 4 2 1

Crystal structure
```
data_NaMg6Nb
_space_group_name_H-M_alt 'P 4/m m m'
_space_group_IT_number 123
_space_group_name_Hall '-P 4 2'
_cell_length_a 6.297
_cell_length_b 6.297
_cell_length_c 4.514
_cell_angle_alpha 90.00
_cell_angle_beta 90.00
_cell_angle_gamma 90.00
loop_
_atom_site_label
_atom_site_type_symbol
_atom_site_fract_x
_atom_site_fract_y
_atom_site_fract_z
Na1 Na 0.000 0.000 0.000
Mg1 Mg 0.000 0.500 0.000
Mg2 Mg 0.267 0.267 0.500
Nb1 Nb 0.500 0.500 0.000
```


Theoretical X-ray powder pattern
Compound: NaPrMgNbO6
Radiation: Cu Ka
Structure: a DFT-relaxed cell (PBE, Alexandria)
No peak broadening, texture or thermal motion is included.

Most intense lines, 15 to 90 degrees two-theta, in order of rising 2θ:
- 2θ = 19.2°, I = 66.7, hkl 1 1 1
- 2θ = 31.7°, I = 100.0, hkl 2 2 0
- 2θ = 37.3°, I = 37.0, hkl 3 1 1
- 2θ = 45.4°, I = 40.7, hkl 4 0 0
- 2θ = 49.7°, I = 16.3, hkl 3 3 1
- 2θ = 56.4°, I = 39.5, hkl 4 2 2
- 2θ = 66.2°, I = 23.6, hkl 4 4 0
- 2θ = 75.2°, I = 16.8, hkl 6 2 0

Crystal structure
```
data_NaPrMgNbO6
_space_group_name_H-M_alt 'F -4 3 m'
_space_group_IT_number 216
_space_group_name_Hall 'F -4 2 3'
_cell_length_a 7.989
_cell_length_b 7.989
_cell_length_c 7.989
_cell_angle_alpha 90.00
_cell_angle_beta 90.00
_cell_angle_gamma 90.00
loop_
_atom_site_label
_atom_site_type_symbol
_atom_site_fract_x
_atom_site_fract_y
_atom_site_fract_z
Na1 Na 0.000 0.000 0.000
Pr1 Pr 0.000 0.000 0.500
Mg1 Mg 0.250 0.250 0.250
Nb1 Nb 0.250 0.250 0.750
O1 O 0.001 0.250 0.750
```


Theoretical X-ray powder pattern
Compound: Na2MgP2O6
Radiation: Cu Ka
Structure: a DFT-relaxed cell (PBE, Alexandria)
No peak broadening, texture or thermal motion is included.

Most intense lines, 15 to 90 degrees two-theta, in order of rising 2θ:
- 2θ = 24.2°, I = 44.0, hkl 1 0 1
- 2θ = 29.8°, I = 18.4, hkl 0 0 2
- 2θ = 33.4°, I = 47.2, hkl 1 1 0
- 2θ = 35.6°, I = 100.0, hkl 1 0 2
- 2θ = 36.7°, I = 28.6, hkl 2 -1 1
- 2θ = 49.6°, I = 29.0, hkl 0 2 2
- 2θ = 59.7°, I = 19.4, hkl 3 0 0
- 2θ = 61.1°, I = 39.5, hkl 3 -1 2

Crystal structure
```
data_Na2MgP2O6
_space_group_name_H-M_alt 'P -3'
_space_group_IT_number 147
_cell_length_a 5.3635
_cell_length_b 5.3635
_cell_length_c 6.0060
_cell_angle_alpha 90.00
_cell_angle_beta 90.00
_cell_angle_gamma 120.00
loop_
_space_group_symop_operation_xyz
'x,y,z'
'-x,-y,-z'
'-y,x-y,z'
'y,-x+y,-z'
'-x+y,-x,z'
'x-y,x,-z'
loop_
_atom_site_label
_atom_site_type_symbol
_atom_site_fract_x
_atom_site_fract_y
_atom_site_fract_z
Na1 Na 0.3333 0.6667 0.3568
Mg1 Mg 0.0000 0.0000 0.0000
P1 P 0.3333 0.6667 0.8617
O1 O 0.1035 0.7439 0.7837
```